# BaLi4In4
Theoretical XRD peak list, Cu Kα (λ = 1.5418 Å). Input: DFT lattice parameters and positions (GGA-PBE).
Kinematic intensities with the Lorentz-polarization factor, no thermal factor.

Cell and atoms:
```
data_BaLi4In4
_cell_length_a 7.282
_cell_length_b 7.282
_cell_length_c 7.282
_cell_angle_alpha 96.89
_cell_angle_beta 96.89
_cell_angle_gamma 139.46
_space_group_name_H-M_alt 'P 1'
_space_group_IT_number 1
loop_
_space_group_symop_operation_xyz
'x,y,z'
loop_
_atom_site_label
_atom_site_type_symbol
_atom_site_fract_x
_atom_site_fract_y
_atom_site_fract_z
Ba1 Ba 0.000 0.000 0.000
Li1 Li 0.224 0.338 0.562
Li2 Li 0.338 0.776 0.114
Li3 Li 0.662 0.224 0.886
Li4 Li 0.776 0.662 0.438
In1 In 0.100 0.620 0.720
In2 In 0.380 0.100 0.480
In3 In 0.620 0.900 0.520
In4 In 0.900 0.380 0.280
```

Main lines, low angle first (15 to 90 degrees two-theta):
18.4 deg, d 4.830, rel. 31
27.2 deg, d 3.282, rel. 100
29.2 deg, d 3.055, rel. 47
35.6 deg, d 2.523, rel. 27
38.0 deg, d 2.366, rel. 95
61.2 deg, d 1.515, rel. 36